Calculated powder XRD pattern
Compound: TiGa4O8
Radiation: Cu Kα, 1.54184 Å
Structure: DFT lattice parameters and positions (GGA-PBE)

Most intense lines, 2θ from 10° to 80°, in order of falling intensity:
d 2.562, I = 1000, hkl 1 1 -2; d 2.791, I = 645, hkl 4 0 -3; d 7.925, I = 594, hkl 0 0 1; d 3.498, I = 534, hkl 2 0 1; d 2.449, I = 446, hkl 3 1 -1; d 2.642, I = 353, hkl 0 0 3; d 1.716, I = 334, hkl 3 1 2; d 1.427, I = 292, hkl 7 1 -1; d 1.591, I = 281, hkl 5 1 -5; d 1.499, I = 231, hkl 1 1 -5

Atomic structure:
```
data_TiGa4O8
_space_group_name_H-M_alt 'C 1 2/m 1'
_space_group_IT_number 12
_cell_length_a 12.4406
_cell_length_b 3.0568
_cell_length_c 9.6069
_cell_angle_alpha 90.00
_cell_angle_beta 124.42
_cell_angle_gamma 90.00
loop_
_space_group_symop_operation_xyz
'x,y,z'
'-x,-y,-z'
'-x,y,-z'
'x,-y,z'
'x+1/2,y+1/2,z'
'-x+1/2,-y+1/2,-z'
'-x+1/2,y+1/2,-z'
'x+1/2,-y+1/2,z'
loop_
_atom_site_label
_atom_site_type_symbol
_atom_site_fract_x
_atom_site_fract_y
_atom_site_fract_z
_atom_site_occupancy
Ti1 Ti 0.0000 0.0000 0.0000 1
Ga1 Ga 0.0357 0.5000 0.7120 1
Ga2 Ga 0.2406 0.0000 0.6374 1
O1 O 0.0547 0.5000 0.9189 1
O2 O 0.1077 0.0000 0.6903 1
O3 O 0.1455 0.5000 0.4593 1
O4 O 0.1667 0.0000 0.2183 1
```

***

Calculated powder XRD pattern
Compound: TiGa2O5
Radiation: Cu Kα, 1.54184 Å
Structure: DFT lattice parameters and positions (GGA-PBE)

Most intense lines, 2θ from 10° to 80°, in order of falling intensity:
d 2.672, I = 1000, hkl 3 1 0; d 3.309, I = 817, hkl 2 0 -2; d 2.467, I = 807, hkl 1 1 2; d 2.893, I = 583, hkl 1 1 -2; d 1.642, I = 453, hkl 3 1 -4; d 1.721, I = 423, hkl 4 2 -2; d 2.522, I = 397, hkl 0 2 0; d 1.445, I = 381, hkl 1 3 2; d 2.006, I = 361, hkl 2 2 -2; d 4.450, I = 344, hkl 1 1 0

Atomic structure:
```
data_TiGa2O5
_space_group_name_H-M_alt 'C 1 2/c 1'
_space_group_IT_number 15
_cell_length_a 10.0965
_cell_length_b 5.0434
_cell_length_c 7.0633
_cell_angle_alpha 90.00
_cell_angle_beta 110.60
_cell_angle_gamma 90.00
loop_
_space_group_symop_operation_xyz
'x,y,z'
'-x,-y,-z'
'-x,y,-z+1/2'
'x,-y,z+1/2'
'x+1/2,y+1/2,z'
'-x+1/2,-y+1/2,-z'
'-x+1/2,y+1/2,-z+1/2'
'x+1/2,-y+1/2,z+1/2'
loop_
_atom_site_label
_atom_site_type_symbol
_atom_site_fract_x
_atom_site_fract_y
_atom_site_fract_z
_atom_site_occupancy
Ti1 Ti 0.0000 0.0000 0.0000 1
Ga1 Ga 0.1362 0.4970 0.2257 1
O1 O 0.0000 0.1965 0.7500 1
O2 O 0.0845 0.3341 0.4490 1
O3 O 0.1849 0.1531 0.1499 1
```

***

Calculated powder XRD pattern
Compound: TlGaO3
Radiation: Cu Kα, 1.54184 Å
Structure: DFT lattice parameters and positions (GGA-PBE)

Most intense lines, 2θ from 10° to 80°, in order of falling intensity:
d 2.748, I = 1000, hkl 1 2 1; d 2.676, I = 188, hkl 0 0 2; d 1.586, I = 187, hkl 0 4 2; d 1.558, I = 172, hkl 1 2 3; d 3.835, I = 171, hkl 1 0 1; d 1.918, I = 154, hkl 2 0 2; d 3.937, I = 115, hkl 0 2 0; d 1.969, I = 110, hkl 0 4 0; d 1.693, I = 97, hkl 3 1 1; d 1.374, I = 96, hkl 2 4 2

Atomic structure:
```
data_TlGaO3
_space_group_name_H-M_alt 'P n m a'
_space_group_IT_number 62
_cell_length_a 5.4983
_cell_length_b 7.8744
_cell_length_c 5.3524
_cell_angle_alpha 90.00
_cell_angle_beta 90.00
_cell_angle_gamma 90.00
loop_
_space_group_symop_operation_xyz
'x,y,z'
'-x,-y,-z'
'-x+1/2,-y,z+1/2'
'x+1/2,y,-z+1/2'
'x+1/2,-y+1/2,-z+1/2'
'-x+1/2,y+1/2,z+1/2'
'-x,y+1/2,-z'
'x,-y+1/2,z'
loop_
_atom_site_label
_atom_site_type_symbol
_atom_site_fract_x
_atom_site_fract_y
_atom_site_fract_z
_atom_site_occupancy
Tl1 Tl 0.0504 0.2500 0.0182 1
Ga1 Ga 0.0000 0.0000 0.5000 1
O1 O 0.0459 0.7500 0.3880 1
O2 O 0.2027 0.5605 0.7992 1
```

***

Calculated powder XRD pattern
Compound: TlGaO2
Radiation: Cu Kα, 1.54184 Å
Structure: DFT lattice parameters and positions (GGA-PBE)

Most intense lines, 2θ from 10° to 80°, in order of falling intensity:
d 2.970, I = 1000, hkl 2 2 0; d 1.714, I = 405, hkl 4 2 2; d 2.532, I = 194, hkl 3 1 1; d 1.328, I = 173, hkl 6 2 0; d 1.485, I = 151, hkl 4 4 0; d 2.100, I = 149, hkl 4 0 0; d 4.849, I = 141, hkl 1 1 1; d 1.616, I = 66, hkl 5 1 1; d 1.927, I = 45, hkl 3 3 1; d 1.420, I = 37, hkl 5 3 1

Atomic structure:
Lattice parameters (Å, degrees): 8.3992 8.3992 8.3992 90.00 90.00 90.00
Space group Fd-3m (No. 227, origin choice 2)
Unique sites:
Tl 0.1250 0.1250 0.1250 [8 per cell]
Ga 0.1250 0.1250 0.6250 [8 per cell]
O 0.0000 0.0000 0.5000 [16 per cell]

***

Calculated powder XRD pattern
Compound: TlGaO3
Radiation: Cu Kα, 1.54184 Å
Structure: DFT lattice parameters and positions (GGA-PBE)

Most intense lines, 2θ from 10° to 80°, in order of falling intensity:
d 2.764, I = 1000, hkl 1 1 0; d 1.596, I = 399, hkl 2 1 1; d 1.954, I = 286, hkl 2 0 0; d 3.909, I = 208, hkl 1 0 0; d 1.382, I = 176, hkl 2 2 0; d 2.257, I = 176, hkl 1 1 1; d 1.236, I = 174, hkl 3 1 0; d 1.748, I = 104, hkl 2 1 0; d 1.303, I = 54, hkl 3 0 0

Atomic structure:
```
data_TlGaO3
_space_group_name_H-M_alt 'P m -3 m'
_space_group_IT_number 221
_space_group_name_Hall '-P 4 2 3'
_cell_length_a 3.9089
_cell_length_b 3.9089
_cell_length_c 3.9089
_cell_angle_alpha 90.00
_cell_angle_beta 90.00
_cell_angle_gamma 90.00
loop_
_atom_site_label
_atom_site_type_symbol
_atom_site_fract_x
_atom_site_fract_y
_atom_site_fract_z
_atom_site_occupancy
Tl1 Tl 0.0000 0.0000 0.0000 1
Ga1 Ga 0.5000 0.5000 0.5000 1
O1 O 0.0000 0.5000 0.5000 1
```